For LaNd10Sc4, a cell relaxed with PBE gives the calculated X-ray powder pattern in this record (CuKα).
Kinematic intensities with the Lorentz-polarization factor, no thermal factor.

Structure:
Cell: 9.349 9.349 9.349 Å, 98.05 98.05 136.04°
Atoms (fractional coordinates):
La1 0.000 0.000 0.000
Nd1 0.038 0.883 0.398
Nd2 0.117 0.515 0.155
Nd3 0.250 0.750 0.500
Nd4 0.360 0.962 0.845
Nd5 0.485 0.640 0.602
Nd6 0.515 0.360 0.398
Nd7 0.640 0.038 0.155
Nd8 0.750 0.250 0.500
Nd9 0.883 0.485 0.845
Nd10 0.962 0.117 0.602
Sc1 0.321 0.569 0.890
Sc2 0.431 0.321 0.752
Sc3 0.569 0.679 0.248
Sc4 0.679 0.431 0.110

Top 10 peaks for 10 to 90 degrees two-theta, by angle:
2θ (°), intensity
10.20, 26
22.94, 89
25.45, 44
27.49, 47
32.67, 100
34.53, 97
37.40, 33
41.86, 43
45.79, 45
63.03, 26

For La4Nd4Sc, a cell relaxed with PBE gives the calculated X-ray powder pattern in this record (CuKα).
Kinematic intensities with the Lorentz-polarization factor, no thermal factor.

Structure:
Cell: 8.181 8.181 8.181 Å, 95.78 95.78 143.01°
Atoms (fractional coordinates):
La1 0.000 0.331 0.331
La2 0.000 0.669 0.669
La3 0.331 0.000 0.331
La4 0.669 0.000 0.669
Nd1 0.338 0.338 0.676
Nd2 0.338 0.662 0.000
Nd3 0.662 0.338 0.000
Nd4 0.662 0.662 0.324
Sc1 0.000 0.000 0.000

Top 10 peaks for 10 to 90 degrees two-theta, by angle:
2θ (°), intensity
29.88, 100
34.56, 17
34.69, 33
49.80, 36
59.06, 14
59.23, 28
62.09, 12
80.87, 11
83.31, 6
83.57, 10

For LaNd4Sc, a cell relaxed with PBE gives the calculated X-ray powder pattern in this record (CuKα).
Kinematic intensities with the Lorentz-polarization factor, no thermal factor.

Structure:
Cell: 6.276 10.881 6.247 Å, 90.00 109.62 90.00°
Atoms (fractional coordinates):
La1 0.000 0.000 0.000
La2 0.500 0.500 0.000
Nd1 0.000 0.168 0.500
Nd2 0.000 0.337 0.000
Nd3 0.000 0.663 0.000
Nd4 0.000 0.832 0.500
Nd5 0.500 0.163 0.000
Nd6 0.500 0.332 0.500
Nd7 0.500 0.668 0.500
Nd8 0.500 0.837 0.000
Sc1 0.000 0.500 0.500
Sc2 0.500 0.000 0.500

Top 10 peaks for 10 to 90 degrees two-theta, by angle:
2θ (°), intensity
30.21, 100
30.38, 33
35.08, 67
50.34, 24
50.56, 23
59.89, 33
59.98, 9
60.13, 14
62.81, 8
81.89, 8

For La8Nd5Sc, a cell relaxed with PBE gives the calculated X-ray powder pattern in this record (CuKα).
Kinematic intensities with the Lorentz-polarization factor, no thermal factor.

Structure:
Cell: 8.688 8.688 8.688 Å, 110.14 110.14 108.14°
Atoms (fractional coordinates):
La1 0.080 0.348 0.601
La2 0.175 0.449 0.116
La3 0.333 0.059 0.884
La4 0.521 0.920 0.268
La5 0.551 0.667 0.726
La6 0.652 0.253 0.732
La7 0.747 0.479 0.399
La8 0.941 0.825 0.274
Nd1 0.019 0.716 0.894
Nd2 0.284 0.178 0.303
Nd3 0.500 0.500 0.000
Nd4 0.822 0.125 0.106
Nd5 0.875 0.981 0.697
Sc1 0.250 0.750 0.500

Top 10 peaks for 10 to 90 degrees two-theta, by angle:
2θ (°), intensity
27.74, 39
28.34, 100
30.88, 19
33.17, 68
33.47, 27
33.65, 32
46.52, 14
53.35, 21
58.69, 12
62.07, 14

For LaNd8Sc3, a cell relaxed with PBE gives the calculated X-ray powder pattern in this record (CuKα).
Kinematic intensities with the Lorentz-polarization factor, no thermal factor.

Structure:
Cell: 5.075 8.005 10.117 Å, 90.26 90.00 108.42°
Atoms (fractional coordinates):
La1 0.000 0.000 0.000
Nd1 0.006 0.011 0.522
Nd2 0.174 0.348 0.256
Nd3 0.176 0.351 0.766
Nd4 0.343 0.685 0.523
Nd5 0.506 0.011 0.257
Nd6 0.674 0.348 0.519
Nd7 0.677 0.355 0.004
Nd8 0.839 0.679 0.258
Sc1 0.341 0.682 0.998
Sc2 0.501 0.003 0.765
Sc3 0.843 0.686 0.766

Top 10 peaks for 10 to 90 degrees two-theta, by angle:
2θ (°), intensity
26.40, 16
30.52, 100
30.62, 98
35.42, 67
35.50, 33
50.96, 58
60.55, 42
60.61, 13
60.77, 26
85.65, 13

For La2NdSm5Sc, a cell relaxed with PBE gives the calculated X-ray powder pattern in this record (CuKα).
Kinematic intensities with the Lorentz-polarization factor, no thermal factor.

Structure:
Cell: 11.338 11.338 10.199 Å, 90.00 90.00 151.99°
Atoms (fractional coordinates):
La1 0.118 0.882 0.510
La2 0.118 0.882 0.990
La3 0.882 0.118 0.010
La4 0.882 0.118 0.490
Nd1 0.398 0.602 0.750
Nd2 0.602 0.398 0.250
Sm1 0.000 0.000 0.250
Sm2 0.000 0.000 0.750
Sm3 0.277 0.723 0.562
Sm4 0.277 0.723 0.938
Sm5 0.374 0.626 0.250
Sm6 0.500 0.500 0.000
Sm7 0.500 0.500 0.500
Sm8 0.626 0.374 0.750
Sm9 0.723 0.277 0.062
Sm10 0.723 0.277 0.438
Sc1 0.216 0.784 0.250
Sc2 0.784 0.216 0.750

Top 10 peaks for 10 to 90 degrees two-theta, by angle:
2θ (°), intensity
26.78, 38
31.22, 15
31.41, 100
32.61, 51
35.20, 16
46.77, 12
48.74, 23
57.48, 18
59.86, 9
60.01, 14